For Be13Mo, a structure optimized by DFT (PBE) gives the computed powder X-ray diffraction pattern in this record (Cu Kα, 1.54184 Å).

Atomic structure:
Lattice parameters (Å, degrees): 13.608 13.608 13.608 90.00 90.00 90.00
Space group Fd-3m (No. 227, origin choice 2)
One atom of each set of equivalent atoms:
Be  0.007  0.007  0.122 x96
Be  0.073  0.073  0.376 x96
Be  0.125  0.125  0.125 x8
Be  0.125  0.125  0.625 x8
Mo  0.000  0.000  0.500 x16

Main lines, low angle first (2θ from 10° to 90°):
d/Å	two_theta	Rel. int.	hkl
7.856	11.3	54	1 1 1
4.103	21.7	82	3 1 1
3.928	22.6	100	2 2 2
3.402	26.2	37	4 0 0
3.122	28.6	50	3 3 1
2.406	37.4	39	4 4 0
2.300	39.2	32	5 3 1
2.075	43.6	24	5 3 3
2.051	44.1	47	6 2 2
1.772	51.6	27	5 5 3